1.
For ZnSn4O9, a DFT-relaxed cell (PBE, the Materials Project) gives the simulated PXRD pattern in this record (Cu Kα, 1.54184 Å).
Peak positions follow from Bragg's law for the DFT cell and can differ from measured ones.

Atomic structure:
Cell: 8.179 8.179 5.079 Å, 90.00 90.00 90.00°
Positions (direct):
Zn (0.250, 0.250, 0.204)
Zn (0.750, 0.750, 0.796)
Sn (0.063, 0.867, 0.274)
Sn (0.133, 0.563, 0.726)
Sn (0.367, 0.937, 0.726)
Sn (0.437, 0.633, 0.274)
Sn (0.563, 0.367, 0.726)
Sn (0.633, 0.063, 0.274)
Sn (0.867, 0.437, 0.274)
Sn (0.937, 0.133, 0.726)
O (0.004, 0.764, 0.916)
O (0.039, 0.353, 0.566)
O (0.147, 0.039, 0.566)
O (0.236, 0.504, 0.084)
O (0.250, 0.750, 0.500)
O (0.264, 0.996, 0.084)
O (0.353, 0.461, 0.566)
O (0.461, 0.147, 0.566)
O (0.496, 0.736, 0.916)
O (0.504, 0.264, 0.084)
O (0.539, 0.853, 0.434)
O (0.647, 0.539, 0.434)
O (0.736, 0.004, 0.916)
O (0.750, 0.250, 0.500)
O (0.764, 0.496, 0.916)
O (0.853, 0.961, 0.434)
O (0.961, 0.647, 0.434)
O (0.996, 0.236, 0.084)

Main lines, in order of rising 2θ (10° ≤ 2θ ≤ 90°):
Position (°2θ), I/Imax
15.32, 5
30.11, 100
34.68, 27
35.35, 11
49.86, 15
50.36, 26
59.36, 27
60.24, 16
62.59, 9
81.89, 8



2.
For SmB4Rh7, a DFT-relaxed cell (PBE, the Materials Project) gives the simulated PXRD pattern in this record (Cu Kα, 1.54184 Å).
Peak positions follow from Bragg's law for the DFT cell and can differ from measured ones.

Atomic structure:
Cell: 2.917 9.656 5.553 Å, 90.00 90.00 90.00°
Positions (direct):
Sm (0.000, 0.000, 0.000)
B (0.000, 0.167, 0.500)
B (0.000, 0.334, 0.000)
B (0.000, 0.666, 0.000)
B (0.000, 0.833, 0.500)
Rh (0.000, 0.500, 0.500)
Rh (0.500, 0.000, 0.498)
Rh (0.500, 0.252, 0.748)
Rh (0.500, 0.256, 0.256)
Rh (0.500, 0.500, 0.994)
Rh (0.500, 0.744, 0.256)
Rh (0.500, 0.748, 0.748)

Main lines, in order of rising 2θ (10° ≤ 2θ ≤ 90°):
Position (°2θ), I/Imax
30.65, 13
35.99, 89
37.25, 50
37.36, 100
45.03, 57
49.04, 27
59.83, 27
59.96, 13
67.24, 19
76.33, 36



3.
For BaPb2C2O6F2, a DFT-relaxed cell (PBE, the Materials Project) gives the simulated PXRD pattern in this record (Cu Kα, 1.54184 Å).
Peak positions follow from Bragg's law for the DFT cell and can differ from measured ones.

Atomic structure:
Cell: 8.571 8.571 8.571 Å, 35.66 35.66 35.66°
Positions (direct):
Ba (0.000, 0.000, 0.000)
Pb (0.217, 0.217, 0.217)
Pb (0.783, 0.783, 0.783)
C (0.430, 0.430, 0.430)
C (0.570, 0.570, 0.570)
O (0.283, 0.712, 0.712)
O (0.288, 0.288, 0.717)
O (0.288, 0.717, 0.288)
O (0.712, 0.283, 0.712)
O (0.712, 0.712, 0.283)
O (0.717, 0.288, 0.288)
F (0.310, 0.310, 0.310)
F (0.690, 0.690, 0.690)

Main lines, in order of rising 2θ (10° ≤ 2θ ≤ 90°):
Position (°2θ), I/Imax
19.88, 23
20.89, 38
24.55, 82
26.99, 100
33.53, 34
34.17, 84
42.52, 52
44.07, 31
48.63, 52
55.64, 24



4.
For ZrMo, a DFT-relaxed cell (PBE, the Materials Project) gives the simulated PXRD pattern in this record (Cu Kα, 1.54184 Å).
Peak positions follow from Bragg's law for the DFT cell and can differ from measured ones.

Atomic structure:
Cell: 2.998 2.998 4.503 Å, 90.00 90.00 112.31°
Positions (direct):
Zr (0.000, 0.000, 0.000)
Mo (0.500, 0.500, 0.500)

Main lines, in order of rising 2θ (10° ≤ 2θ ≤ 90°):
Position (°2θ), I/Imax
36.07, 29
38.10, 100
40.05, 22
54.99, 25
66.20, 19
67.54, 9
70.17, 8
71.47, 15
76.51, 3
81.51, 11



5.
For LaErS3, a DFT-relaxed cell (PBE, the Materials Project) gives the simulated PXRD pattern in this record (Cu Kα, 1.54184 Å).
Peak positions follow from Bragg's law for the DFT cell and can differ from measured ones.

Atomic structure:
Cell: 16.534 4.007 21.462 Å, 90.00 90.00 90.00°
Positions (direct):
La (0.160, 0.250, 0.246)
La (0.170, 0.750, 0.587)
La (0.194, 0.250, 0.921)
La (0.306, 0.750, 0.421)
La (0.330, 0.250, 0.087)
La (0.340, 0.750, 0.746)
La (0.660, 0.250, 0.254)
La (0.670, 0.750, 0.913)
La (0.694, 0.250, 0.579)
La (0.806, 0.750, 0.079)
La (0.830, 0.250, 0.413)
La (0.840, 0.750, 0.754)
Er (0.057, 0.750, 0.069)
Er (0.066, 0.250, 0.421)
Er (0.095, 0.250, 0.750)
Er (0.405, 0.750, 0.250)
Er (0.434, 0.750, 0.921)
Er (0.443, 0.250, 0.569)
Er (0.557, 0.750, 0.431)
Er (0.566, 0.250, 0.079)
Er (0.595, 0.250, 0.750)
Er (0.905, 0.750, 0.250)
Er (0.934, 0.750, 0.579)
Er (0.943, 0.250, 0.931)
S (0.037, 0.750, 0.682)
S (0.043, 0.250, 0.552)
S (0.052, 0.750, 0.194)
S (0.060, 0.750, 0.942)
S (0.146, 0.750, 0.352)
S (0.159, 0.250, 0.063)
S (0.177, 0.750, 0.816)
S (0.209, 0.250, 0.483)
S (0.230, 0.250, 0.678)
S (0.270, 0.750, 0.178)
S (0.291, 0.750, 0.983)
S (0.323, 0.250, 0.316)
S (0.341, 0.750, 0.563)
S (0.354, 0.250, 0.852)
S (0.440, 0.250, 0.442)
S (0.448, 0.250, 0.694)
S (0.457, 0.750, 0.052)
S (0.463, 0.250, 0.182)
S (0.537, 0.750, 0.818)
S (0.543, 0.250, 0.948)
S (0.552, 0.750, 0.306)
S (0.560, 0.750, 0.558)
S (0.646, 0.750, 0.148)
S (0.659, 0.250, 0.437)
S (0.677, 0.750, 0.684)
S (0.709, 0.250, 0.017)
S (0.730, 0.250, 0.822)
S (0.770, 0.750, 0.322)
S (0.791, 0.750, 0.517)
S (0.823, 0.250, 0.184)
S (0.841, 0.750, 0.937)
S (0.854, 0.250, 0.648)
S (0.940, 0.250, 0.058)
S (0.948, 0.250, 0.806)
S (0.957, 0.750, 0.448)
S (0.963, 0.250, 0.318)

Main lines, in order of rising 2θ (10° ≤ 2θ ≤ 90°):
Position (°2θ), I/Imax
24.31, 25
24.88, 100
27.84, 22
28.32, 15
29.85, 18
35.41, 41
43.82, 27
45.24, 23
52.33, 28
64.81, 18



6.
For LiTcH6O7, a DFT-relaxed cell (PBE, the Materials Project) gives the simulated PXRD pattern in this record (Cu Kα, 1.54184 Å).
Peak positions follow from Bragg's law for the DFT cell and can differ from measured ones.

Atomic structure:
Cell: 7.952 7.952 5.756 Å, 90.00 90.00 120.00°
Positions (direct):
Li (0.000, 0.000, 0.000)
Li (0.000, 0.000, 0.500)
Tc (0.333, 0.667, 0.300)
Tc (0.667, 0.333, 0.800)
H (0.065, 0.325, 0.743)
H (0.065, 0.739, 0.743)
H (0.261, 0.325, 0.743)
H (0.261, 0.935, 0.743)
H (0.325, 0.065, 0.243)
H (0.325, 0.261, 0.243)
H (0.675, 0.739, 0.743)
H (0.675, 0.935, 0.743)
H (0.739, 0.065, 0.243)
H (0.739, 0.675, 0.243)
H (0.935, 0.261, 0.243)
H (0.935, 0.675, 0.243)
O (0.093, 0.547, 0.202)
O (0.119, 0.238, 0.750)
O (0.119, 0.881, 0.750)
O (0.238, 0.119, 0.250)
O (0.333, 0.667, 0.600)
O (0.453, 0.547, 0.202)
O (0.453, 0.907, 0.202)
O (0.547, 0.093, 0.702)
O (0.547, 0.453, 0.702)
O (0.667, 0.333, 0.100)
O (0.762, 0.881, 0.750)
O (0.881, 0.119, 0.250)
O (0.881, 0.762, 0.250)
O (0.907, 0.453, 0.702)

Main lines, in order of rising 2θ (10° ≤ 2θ ≤ 90°):
Position (°2θ), I/Imax
12.85, 31
20.10, 100
22.36, 56
30.25, 62
31.07, 20
34.46, 21
37.94, 13
45.63, 13
50.33, 22
69.44, 13



7.
For H8PtO6, a DFT-relaxed cell (PBE, the Materials Project) gives the simulated PXRD pattern in this record (Cu Kα, 1.54184 Å).
Peak positions follow from Bragg's law for the DFT cell and can differ from measured ones.

Atomic structure:
Cell: 5.573 5.578 7.337 Å, 87.97 87.11 82.96°
Positions (direct):
H (0.000, 0.000, 0.000)
H (0.014, 0.218, 0.609)
H (0.112, 0.609, 0.251)
H (0.138, 0.301, 0.105)
H (0.190, 0.684, 0.924)
H (0.344, 0.365, 0.719)
H (0.380, 0.395, 0.505)
H (0.417, 0.913, 0.385)
H (0.455, 0.004, 0.843)
H (0.561, 0.800, 0.119)
H (0.634, 0.735, 0.617)
H (0.698, 0.126, 0.747)
H (0.717, 0.507, 0.343)
H (0.735, 0.587, 0.896)
H (0.749, 0.236, 0.437)
H (0.962, 0.886, 0.244)
Pt (0.081, 0.773, 0.595)
Pt (0.592, 0.249, 0.099)
O (0.173, 0.837, 0.849)
O (0.250, 0.428, 0.099)
O (0.254, 0.421, 0.607)
O (0.399, 0.901, 0.525)
O (0.453, 0.941, 0.176)
O (0.544, 0.152, 0.838)
O (0.633, 0.358, 0.358)
O (0.720, 0.566, 0.033)
O (0.773, 0.630, 0.676)
O (0.893, 0.106, 0.590)
O (0.935, 0.082, 0.116)
O (0.989, 0.722, 0.329)

Main lines, in order of rising 2θ (10° ≤ 2θ ≤ 90°):
Position (°2θ), I/Imax
19.67, 100
19.82, 99
20.40, 99
20.58, 98
21.31, 94
24.10, 75
24.30, 80
32.38, 55
39.93, 41
40.21, 34



8.
For Zn11Ir2, a DFT-relaxed cell (PBE, the Materials Project) gives the simulated PXRD pattern in this record (Cu Kα, 1.54184 Å).
Peak positions follow from Bragg's law for the DFT cell and can differ from measured ones.

Atomic structure:
Cell: 7.932 7.932 7.932 Å, 109.47 109.47 109.47°
Positions (direct):
Zn (0.000, 0.000, 0.790)
Zn (0.000, 0.264, 0.650)
Zn (0.000, 0.357, 0.357)
Zn (0.000, 0.643, 0.643)
Zn (0.000, 0.650, 0.264)
Zn (0.000, 0.790, 0.000)
Zn (0.210, 0.210, 0.210)
Zn (0.264, 0.000, 0.650)
Zn (0.264, 0.650, 0.000)
Zn (0.350, 0.350, 0.614)
Zn (0.350, 0.614, 0.350)
Zn (0.357, 0.000, 0.357)
Zn (0.357, 0.357, 0.000)
Zn (0.386, 0.736, 0.736)
Zn (0.614, 0.350, 0.350)
Zn (0.643, 0.000, 0.643)
Zn (0.643, 0.643, 0.000)
Zn (0.650, 0.000, 0.264)
Zn (0.650, 0.264, 0.000)
Zn (0.736, 0.386, 0.736)
Zn (0.736, 0.736, 0.386)
Zn (0.790, 0.000, 0.000)
Ir (0.000, 0.000, 0.346)
Ir (0.000, 0.346, 0.000)
Ir (0.346, 0.000, 0.000)
Ir (0.654, 0.654, 0.654)

Main lines, in order of rising 2θ (10° ≤ 2θ ≤ 90°):
Position (°2θ), I/Imax
13.67, 6
19.38, 5
23.79, 20
41.84, 100
46.50, 6
48.70, 8
60.66, 11
71.34, 5
76.41, 20
86.28, 12